Diffraction record for HoEr. The powder diffraction line list is simulated, not measured: it uses a cell relaxed with PBE and Cu Kα X-rays.
Kinematic intensities with the Lorentz-polarization factor, no thermal factor.

Crystal structure
a = 3.5745 Å, b = 3.5745 Å, c = 5.6771 Å
α = 90.00°, β = 90.00°, γ = 120.00°
Positions (direct):
Ho 0.0000 0.0000 0.0000
Er 0.3333 0.6667 0.5000

Principal peaks in the range 2θ from 5° to 70°, low angle first:
| 2θ (°) | I/Imax | index |
| --- | --- | --- |
| 28.84 | 24 | 1 0 0 |
| 31.52 | 25 | 0 0 2 |
| 32.96 | 100 | 1 0 1 |
| 43.24 | 16 | 1 0 2 |
| 51.11 | 20 | 1 1 0 |
| 57.04 | 21 | 1 0 3 |
| 59.75 | 3 | 2 0 0 |
| 61.29 | 23 | 1 1 2 |
| 62.16 | 16 | 2 0 1 |
| 69.13 | 4 | 2 0 2 |